Entry 1:
Simulated XRD peak list of La4GeCl4 for copper Kα, from DFT lattice parameters and positions (PBE).
Neutral-atom scattering factors, no anomalous dispersion.

The 10 most intense peaks (10 to 90 degrees two-theta), sorted by position:
- 13.0 deg, rel. 18.7, (2 0 -1)
- 25.9 deg, rel. 25.3, (1 1 1)
- 29.8 deg, rel. 100.0, (3 1 -2)
- 30.3 deg, rel. 46.1, (2 0 2)
- 41.9 deg, rel. 36.9, (1 1 -4)
- 42.5 deg, rel. 17.6, (6 0 -4)
- 42.7 deg, rel. 18.4, (0 2 0)
- 44.0 deg, rel. 32.5, (5 1 0)
- 51.2 deg, rel. 13.3, (4 0 -6)
- 53.2 deg, rel. 18.9, (2 2 2)

Crystal structure
```
data_La4GeCl4
_space_group_name_H-M_alt 'C 1 2/m 1'
_space_group_IT_number 12
_cell_length_a 13.729
_cell_length_b 4.236
_cell_length_c 10.700
_cell_angle_alpha 90.00
_cell_angle_beta 121.04
_cell_angle_gamma 90.00
loop_
_space_group_symop_operation_xyz
'x,y,z'
'-x,-y,-z'
'-x,y,-z'
'x,-y,z'
'x+1/2,y+1/2,z'
'-x+1/2,-y+1/2,-z'
'-x+1/2,y+1/2,-z'
'x+1/2,-y+1/2,z'
loop_
_atom_site_label
_atom_site_fract_x
_atom_site_fract_y
_atom_site_fract_z
La1 0.104 0.000 0.413
La2 0.200 0.500 0.788
Ge1 0.000 0.500 0.500
Cl1 0.105 0.000 0.892
Cl2 0.182 0.500 0.276
```

---

Entry 2:
Simulated XRD peak list of La6GeRu2Cl3 for copper Kα, from DFT lattice parameters and positions (PBE).
Neutral-atom scattering factors, no anomalous dispersion.

The 10 most intense peaks (10 to 90 degrees two-theta), sorted by position:
- 11.8 deg, rel. 27.8, (0 0 1)
- 25.5 deg, rel. 16.6, (1 3 -1)
- 29.0 deg, rel. 100.0, (2 0 -2)
- 37.3 deg, rel. 10.2, (1 3 2)
- 40.4 deg, rel. 21.4, (1 3 -3)
- 40.6 deg, rel. 10.3, (2 0 2)
- 42.6 deg, rel. 35.8, (3 3 -1)
- 51.2 deg, rel. 6.8, (1 3 -4)
- 52.3 deg, rel. 12.5, (2 6 -2)
- 69.7 deg, rel. 9.2, (5 3 -3)

Crystal structure
```
data_La6GeRu2Cl3
_space_group_name_H-M_alt 'C 1 2/m 1'
_space_group_IT_number 12
_cell_length_a 7.345
_cell_length_b 12.738
_cell_length_c 7.881
_cell_angle_alpha 90.00
_cell_angle_beta 108.40
_cell_angle_gamma 90.00
loop_
_space_group_symop_operation_xyz
'x,y,z'
'-x,-y,-z'
'-x,y,-z'
'x,-y,z'
'x+1/2,y+1/2,z'
'-x+1/2,-y+1/2,-z'
'-x+1/2,y+1/2,-z'
'x+1/2,-y+1/2,z'
loop_
_atom_site_label
_atom_site_fract_x
_atom_site_fract_y
_atom_site_fract_z
La1 0.216 0.000 0.211
La2 0.244 0.323 0.210
Ge1 0.000 0.500 0.000
Ru1 0.000 0.167 0.000
Cl1 0.000 0.000 0.500
Cl2 0.000 0.336 0.500
```

---

Entry 3:
Simulated XRD peak list of La6GeSe3Cl2 for copper Kα, from DFT lattice parameters and positions (PBE).
Neutral-atom scattering factors, no anomalous dispersion.

The 10 most intense peaks (10 to 90 degrees two-theta), sorted by position:
- 25.3 deg, rel. 12.3, (3 1 0)
- 25.5 deg, rel. 12.0, (4 0 -2)
- 29.4 deg, rel. 100.0, (6 0 0)
- 41.8 deg, rel. 12.8, (0 2 0)
- 42.1 deg, rel. 49.5, (7 1 -2)
- 42.3 deg, rel. 12.1, (2 0 -4)
- 52.0 deg, rel. 13.3, (6 2 0)
- 52.4 deg, rel. 12.9, (8 0 -4)
- 69.2 deg, rel. 11.0, (8 2 -4)
- 69.3 deg, rel. 11.0, (13 1 -2)

Crystal structure
```
data_La6GeSe3Cl2
_space_group_name_H-M_alt 'C 1 2/m 1'
_space_group_IT_number 12
_cell_length_a 18.673
_cell_length_b 4.320
_cell_length_c 8.546
_cell_angle_alpha 90.00
_cell_angle_beta 103.16
_cell_angle_gamma 90.00
loop_
_space_group_symop_operation_xyz
'x,y,z'
'-x,-y,-z'
'-x,y,-z'
'x,-y,z'
'x+1/2,y+1/2,z'
'-x+1/2,-y+1/2,-z'
'-x+1/2,y+1/2,-z'
'x+1/2,-y+1/2,z'
loop_
_atom_site_label
_atom_site_fract_x
_atom_site_fract_y
_atom_site_fract_z
La1 0.001 0.000 0.255
La2 0.165 0.500 0.576
La3 0.167 0.500 0.083
Ge1 0.000 0.500 0.500
Se1 0.000 0.500 0.000
Se2 0.167 0.000 0.329
Cl1 0.166 0.000 0.830
```

---

Entry 4:
Simulated XRD peak list of La5GeTe2Cl for copper Kα, from DFT lattice parameters and positions (PBE).
Neutral-atom scattering factors, no anomalous dispersion.

The 10 most intense peaks (10 to 90 degrees two-theta), sorted by position:
- 24.6 deg, rel. 15.0, (1 1 2)
- 28.1 deg, rel. 23.3, (1 3 2)
- 28.5 deg, rel. 100.0, (1 1 3)
- 29.3 deg, rel. 44.3, (0 6 1)
- 31.6 deg, rel. 26.6, (1 5 0)
- 33.2 deg, rel. 34.6, (0 2 5)
- 34.1 deg, rel. 33.3, (1 5 2)
- 39.5 deg, rel. 14.1, (0 2 6)
- 41.8 deg, rel. 38.5, (2 0 0)
- 51.9 deg, rel. 17.8, (2 6 1)

Crystal structure
```
data_La5GeTe2Cl
_space_group_name_H-M_alt 'C m c 21'
_space_group_IT_number 36
_cell_length_a 4.321
_cell_length_b 18.732
_cell_length_c 14.100
_cell_angle_alpha 90.00
_cell_angle_beta 90.00
_cell_angle_gamma 90.00
loop_
_space_group_symop_operation_xyz
'x,y,z'
'-x,-y,z+1/2'
'-x,y,z'
'x,-y,z+1/2'
'x+1/2,y+1/2,z'
'-x+1/2,-y+1/2,z+1/2'
'-x+1/2,y+1/2,z'
'x+1/2,-y+1/2,z+1/2'
loop_
_atom_site_label
_atom_site_fract_x
_atom_site_fract_y
_atom_site_fract_z
La1 0.000 0.008 0.000
La2 0.000 0.129 0.244
La3 0.000 0.184 0.618
La4 0.000 0.217 0.910
La5 0.000 0.441 0.325
Ge1 0.000 0.288 0.260
Te1 0.000 0.363 0.558
Te2 0.000 0.390 0.928
Cl1 0.000 0.031 0.692
```

---

What did the second record say?
Simulated XRD peak list of La6GeRu2Cl3 for copper Kα, from DFT lattice parameters and positions (PBE).
Neutral-atom scattering factors, no anomalous dispersion.

The 10 most intense peaks (10 to 90 degrees two-theta), sorted by position:
- 11.8 deg, rel. 27.8, (0 0 1)
- 25.5 deg, rel. 16.6, (1 3 -1)
- 29.0 deg, rel. 100.0, (2 0 -2)
- 37.3 deg, rel. 10.2, (1 3 2)
- 40.4 deg, rel. 21.4, (1 3 -3)
- 40.6 deg, rel. 10.3, (2 0 2)
- 42.6 deg, rel. 35.8, (3 3 -1)
- 51.2 deg, rel. 6.8, (1 3 -4)
- 52.3 deg, rel. 12.5, (2 6 -2)
- 69.7 deg, rel. 9.2, (5 3 -3)

Crystal structure
```
data_La6GeRu2Cl3
_space_group_name_H-M_alt 'C 1 2/m 1'
_space_group_IT_number 12
_cell_length_a 7.345
_cell_length_b 12.738
_cell_length_c 7.881
_cell_angle_alpha 90.00
_cell_angle_beta 108.40
_cell_angle_gamma 90.00
loop_
_space_group_symop_operation_xyz
'x,y,z'
'-x,-y,-z'
'-x,y,-z'
'x,-y,z'
'x+1/2,y+1/2,z'
'-x+1/2,-y+1/2,-z'
'-x+1/2,y+1/2,-z'
'x+1/2,-y+1/2,z'
loop_
_atom_site_label
_atom_site_fract_x
_atom_site_fract_y
_atom_site_fract_z
La1 0.216 0.000 0.211
La2 0.244 0.323 0.210
Ge1 0.000 0.500 0.000
Ru1 0.000 0.167 0.000
Cl1 0.000 0.000 0.500
Cl2 0.000 0.336 0.500
```